No. 1
# Ba3PaSe6
Computed XRD peak list, CuKα. Input: a crystal structure in Alexandria, relaxed with PBE.
Neutral-atom scattering factors, no anomalous dispersion.

Structure:
```
data_Ba3PaSe6
_chemical_formula_sum 'Ba18 Pa6 Se36'
_cell_length_a 12.6239
_cell_length_b 12.6239
_cell_length_c 15.6411
_cell_angle_alpha 90.00
_cell_angle_beta 90.00
_cell_angle_gamma 120.00
_symmetry_space_group_name_H-M 'R -3 c'
_symmetry_Int_Tables_number 167
_symmetry_space_group_name_Hall '-R 3 2"c'
loop_
_atom_site_label
_atom_site_type_symbol
_atom_site_fract_x
_atom_site_fract_y
_atom_site_fract_z
Ba1 Ba 0.0000 0.3682 0.2500
Pa1 Pa 0.0000 0.0000 0.0000
Se1 Se 0.0227 0.1889 0.3969
```

Peak list (12 most intense, 2θ = 10–90°, by intensity)
- 2θ 13.9, intensity 100, (0 1 2)
- 2θ 33.2, intensity 90, (2 2 3)
- 2θ 24.4, intensity 44, (3 0 0)
- 2θ 31.5, intensity 44, (2 1 4)
- 2θ 31.6, intensity 39, (3 1 2)
- 2θ 30.0, intensity 35, (1 3 1)
- 2θ 45.1, intensity 27, (2 2 6)
- 2θ 42.8, intensity 25, (3 2 4)
- 2θ 37.3, intensity 24, (1 1 6)
- 2θ 50.1, intensity 21, (6 0 0)
- 2θ 22.1, intensity 20, (1 1 3)
- 2θ 64.2, intensity 18, (3 5 4)

***

No. 2
# CaGaCl5
Computed XRD peak list, CuKα. Input: a crystal structure in Alexandria, relaxed with PBE.
Neutral-atom scattering factors, no anomalous dispersion.

Structure:
```
data_CaGaCl5
_chemical_formula_sum 'Ca4 Ga4 Cl20'
_cell_length_a 10.3911
_cell_length_b 9.9448
_cell_length_c 10.0444
_cell_angle_alpha 90.00
_cell_angle_beta 119.00
_cell_angle_gamma 90.00
_symmetry_space_group_name_H-M 'C 1 2/c 1'
_symmetry_Int_Tables_number 15
loop_
_symmetry_equiv_pos_as_xyz
'x,y,z'
'-x,-y,-z'
'-x,y,-z+1/2'
'x,-y,z+1/2'
'x+1/2,y+1/2,z'
'-x+1/2,-y+1/2,-z'
'-x+1/2,y+1/2,-z+1/2'
'x+1/2,-y+1/2,z+1/2'
loop_
_atom_site_label
_atom_site_type_symbol
_atom_site_fract_x
_atom_site_fract_y
_atom_site_fract_z
Ca1 Ca 0.0000 0.0000 0.0000
Ga1 Ga 0.0000 0.3977 0.2500
Cl1 Cl 0.0000 0.0812 0.7500
Cl2 Cl 0.0181 0.2798 0.4444
Cl3 Cl 0.1903 0.4642 0.8333
```

Peak list (12 most intense, 2θ = 10–90°, by intensity)
- 2θ 19.8, intensity 100, (1 1 -2)
- 2θ 19.5, intensity 88, (2 0 0)
- 2θ 24.8, intensity 53, (2 2 -1)
- 2θ 40.2, intensity 37, (2 2 -4)
- 2θ 20.5, intensity 36, (0 2 1)
- 2θ 31.8, intensity 34, (2 2 1)
- 2θ 50.9, intensity 31, (2 4 2)
- 2θ 41.7, intensity 31, (2 4 -2)
- 2θ 35.8, intensity 29, (2 0 -4)
- 2θ 13.4, intensity 28, (1 1 -1)
- 2θ 27.1, intensity 26, (0 2 2)
- 2θ 17.8, intensity 25, (0 2 0)

***

No. 3
# Mn3In6I14
Computed XRD peak list, CuKα. Input: a crystal structure in Alexandria, relaxed with PBE.
Neutral-atom scattering factors, no anomalous dispersion.

Structure:
```
data_Mn3In6I14
_chemical_formula_sum 'Mn3 In6 I14'
_cell_length_a 11.9284
_cell_length_b 11.9284
_cell_length_c 7.3802
_cell_angle_alpha 90.00
_cell_angle_beta 90.00
_cell_angle_gamma 120.00
_symmetry_space_group_name_H-M 'P 3'
_symmetry_Int_Tables_number 143
loop_
_symmetry_equiv_pos_as_xyz
'x,y,z'
'-y,x-y,z'
'-x+y,-x,z'
loop_
_atom_site_label
_atom_site_type_symbol
_atom_site_fract_x
_atom_site_fract_y
_atom_site_fract_z
Mn1 Mn 0.0000 0.0000 0.0000
Mn2 Mn 0.3333 0.6667 0.4825
Mn3 Mn 0.6667 0.3333 0.4018
In1 In 0.0329 0.5578 0.0559
In2 In 0.2946 0.0962 0.5736
I1 I 0.0000 0.0000 0.3603
I2 I 0.0861 0.8514 0.8548
I3 I 0.1971 0.4289 0.3407
I4 I 0.3333 0.6667 0.8437
I5 I 0.4434 0.2039 0.1771
I6 I 0.5309 0.4220 0.6279
```

Peak list (12 most intense, 2θ = 10–90°, by intensity)
- 2θ 25.8, intensity 100, (3 -1 1)
- 2θ 28.6, intensity 53, (0 3 1)
- 2θ 25.6, intensity 42, (1 0 2)
- 2θ 29.8, intensity 36, (2 0 2)
- 2θ 33.6, intensity 31, (3 1 1)
- 2θ 45.6, intensity 28, (3 3 0)
- 2θ 33.4, intensity 24, (1 2 2)
- 2θ 30.0, intensity 22, (2 2 0)
- 2θ 45.3, intensity 20, (0 3 3)
- 2θ 60.0, intensity 20, (6 1 1)
- 2θ 40.6, intensity 19, (0 2 3)
- 2θ 31.2, intensity 17, (1 3 0)